Record 1
Theoretical X-ray diffraction stick pattern of Ba5Nb2O11 for λ = 1.5418 Å (Cu Kα), from the GGA-PBE geometry in Alexandria.
Intensities are scaled so that the largest is 100.

Crystal structure
```
data_Ba5Nb2O11
_chemical_formula_sum 'Ba20 Nb8 O44'
_symmetry_space_group_name_H-M 'C 1 2/c 1'
_symmetry_Int_Tables_number 15
_cell_length_a 6.190
_cell_length_b 10.624
_cell_length_c 18.598
_cell_angle_alpha 90.00
_cell_angle_beta 91.88
_cell_angle_gamma 90.00
loop_
_symmetry_equiv_pos_as_xyz
'x,y,z'
'-x,-y,-z'
'-x,y,-z+1/2'
'x,-y,z+1/2'
'x+1/2,y+1/2,z'
'-x+1/2,-y+1/2,-z'
'-x+1/2,y+1/2,-z+1/2'
'x+1/2,-y+1/2,z+1/2'
loop_
_atom_site_label
_atom_site_fract_x
_atom_site_fract_y
_atom_site_fract_z
_atom_site_occupancy
Ba1 0.000 0.161 0.250 1
Ba2 0.005 0.499 0.361 1
Ba3 0.012 0.165 0.476 1
Nb1 0.008 0.167 0.670 1
O1 0.000 0.315 0.750 1
O2 0.037 0.005 0.624 1
O3 0.105 0.463 0.501 1
O4 0.197 0.243 0.897 1
O5 0.219 0.096 0.760 1
O6 0.234 0.258 0.370 1
```

Top 10 peaks for 10 to 90 degrees two-theta, low angle first:
Position (°2θ)	Rel. int.	(hkl)
25.03	21	1 1 -4
25.47	19	0 2 4
25.76	22	1 1 4
28.86	82	2 0 0
29.05	100	1 3 0
29.32	24	0 2 5
41.02	21	2 2 -5
41.77	18	0 4 5
51.26	19	3 3 0
60.21	19	2 6 0

***

Record 2
Theoretical X-ray diffraction stick pattern of BaNb7O9 for λ = 1.5418 Å (Cu Kα), from the GGA-PBE geometry in Alexandria.
Intensities are scaled so that the largest is 100.

Crystal structure
```
data_BaNb7O9
_chemical_formula_sum 'Ba1 Nb7 O9'
_symmetry_space_group_name_H-M 'P 4/m m m'
_symmetry_Int_Tables_number 123
_symmetry_space_group_name_Hall '-P 4 2'
_cell_length_a 4.246
_cell_length_b 4.246
_cell_length_c 12.595
_cell_angle_alpha 90.00
_cell_angle_beta 90.00
_cell_angle_gamma 90.00
loop_
_atom_site_label
_atom_site_fract_x
_atom_site_fract_y
_atom_site_fract_z
_atom_site_occupancy
Ba1 0.000 0.000 0.000 1
Nb1 0.000 0.500 0.329 1
Nb2 0.500 0.500 0.168 1
Nb3 0.500 0.500 0.500 1
O1 0.000 0.000 0.335 1
O2 0.000 0.500 0.161 1
O3 0.000 0.500 0.500 1
O4 0.500 0.500 0.000 1
```

Top 10 peaks for 10 to 90 degrees two-theta, low angle first:
Position (°2θ)	Rel. int.	(hkl)
29.93	100	1 0 3
30.61	47	1 1 1
33.06	45	1 1 2
36.81	45	1 1 3
42.59	87	2 0 0
43.09	42	0 0 6
52.93	39	2 1 3
61.81	27	2 2 0
62.19	52	2 0 6
78.30	26	2 2 6